(1)
Starting from DFT lattice parameters and positions (PBE), the powder diffraction line list of NdGd2H was computed for Cu Kα (λ = 1.5418 Å).
Kinematic intensities with the Lorentz-polarization factor, no thermal factor.

Atomic structure:
Lattice parameters (Å, degrees): 3.6527 3.6527 25.9640 90.00 90.00 120.00
Space group R-3m (No. 166, hexagonal axes)
Inequivalent atoms, fractional coordinates:
Nd: 0.0000 0.0000 0.0000 x3
Gd: 0.0000 0.0000 0.2204 x6
H: 0.0000 0.0000 0.5000 x3

Main lines, in order of falling intensity (10° ≤ 2θ ≤ 80°):
Position (°2θ)  I/Imax
31.46  100
33.16  95
31.00  50
59.94  46
49.94  41
28.42  37
57.61  22
54.32  19
29.05  18
61.26  16

***

(2)
Starting from DFT lattice parameters and positions (PBE), the powder diffraction line list of Cs3Tb7Te12 was computed for Cu Kα (λ = 1.5418 Å).
Kinematic intensities with the Lorentz-polarization factor, no thermal factor.

Atomic structure:
Lattice parameters (Å, degrees): 4.467 13.585 28.841 90.00 90.00 90.00
Space group Pmn2_1 (No. 31)
Inequivalent atoms, fractional coordinates:
Cs: 0.000 0.018 0.000 x2
Cs: 0.000 0.292 0.642 x2
Cs: 0.000 0.476 0.254 x2
Tb: 0.000 0.173 0.335 x2
Tb: 0.000 0.255 0.125 x2
Tb: 0.000 0.326 0.914 x2
Tb: 0.000 0.536 0.537 x2
Tb: 0.000 0.661 0.939 x2
Tb: 0.000 0.842 0.310 x2
Tb: 0.000 0.958 0.710 x2
Te: 0.000 0.185 0.442 x2
Te: 0.000 0.196 0.228 x2
Te: 0.000 0.308 0.021 x2
Te: 0.000 0.314 0.806 x2
Te: 0.000 0.508 0.426 x2
Te: 0.000 0.586 0.641 x2
Te: 0.000 0.622 0.043 x2
Te: 0.000 0.674 0.833 x2
Te: 0.000 0.827 0.416 x2
Te: 0.000 0.885 0.205 x2
Te: 0.000 0.901 0.608 x2
Te: 0.000 0.991 0.821 x2

Main lines, in order of falling intensity (10° ≤ 2θ ≤ 80°):
Position (°2θ)  I/Imax
28.23  100
39.92  38
40.36  38
31.01  21
28.06  21
41.76  19
28.62  19
25.56  16
39.49  15
66.11  14

***

(3)
Starting from DFT lattice parameters and positions (PBE), the powder diffraction line list of Li2Zn7Ru was computed for Cu Kα (λ = 1.5418 Å).
Kinematic intensities with the Lorentz-polarization factor, no thermal factor.

Atomic structure:
Lattice parameters (Å, degrees): 4.2315 4.2315 10.4090 90.00 90.00 120.00
Space group P3m1 (No. 156)
Inequivalent atoms, fractional coordinates:
Li: 0.0000 0.0000 0.0000 x1
Li: 0.3333 0.6667 0.5797 x1
Zn: 0.0000 0.0000 0.2519 x1
Zn: 0.0000 0.0000 0.7260 x1
Zn: 0.3333 0.6667 0.0781 x1
Zn: 0.3333 0.6667 0.3260 x1
Zn: 0.3333 0.6667 0.8261 x1
Zn: 0.6667 0.3333 0.4304 x1
Zn: 0.6667 0.3333 0.9208 x1
Ru: 0.6667 0.3333 0.1783 x1

Main lines, in order of falling intensity (10° ≤ 2θ ≤ 80°):
Position (°2θ)  I/Imax
42.61  100
42.74  99
78.21  46
29.82  32
61.94  31
17.04  26
35.63  23
25.76  22
43.66  12
46.32  12

***

(4)
Starting from DFT lattice parameters and positions (PBE), the powder diffraction line list of Li2Pa5S12 was computed for Cu Kα (λ = 1.5418 Å).
Kinematic intensities with the Lorentz-polarization factor, no thermal factor.

Atomic structure:
Lattice parameters (Å, degrees): 15.115 6.887 8.721 90.00 106.94 90.00
Space group C2/m (No. 12)
Inequivalent atoms, fractional coordinates:
Li: 0.000 0.242 0.000 x4
Pa: 0.000 0.000 0.500 x2
Pa: 0.180 0.500 0.845 x4
Pa: 0.189 0.500 0.341 x4
S: 0.002 0.500 0.228 x4
S: 0.009 0.000 0.785 x4
S: 0.155 0.250 0.571 x8
S: 0.173 0.255 0.093 x8

Main lines, in order of falling intensity (10° ≤ 2θ ≤ 80°):
Position (°2θ)  I/Imax
22.52  100
24.16  90
38.15  32
38.21  32
25.87  29
27.59  24
37.30  24
12.24  22
41.42  19
44.61  19

***

(5)
Starting from DFT lattice parameters and positions (PBE), the powder diffraction line list of Ba3AsIO was computed for Cu Kα (λ = 1.5418 Å).
Kinematic intensities with the Lorentz-polarization factor, no thermal factor.

Atomic structure:
Lattice parameters (Å, degrees): 18.136 5.285 9.704 90.00 103.78 90.00
Space group C2/m (No. 12)
Inequivalent atoms, fractional coordinates:
Ba: 0.007 0.000 0.293 x4
Ba: 0.141 0.500 0.786 x4
Ba: 0.157 0.500 0.361 x4
As: 0.151 0.000 0.578 x4
I: 0.147 0.000 0.067 x4
O: 0.002 0.500 0.266 x4

Main lines, in order of falling intensity (10° ≤ 2θ ≤ 80°):
Position (°2θ)  I/Imax
24.92  100
32.62  97
31.90  88
33.93  71
30.45  69
27.14  41
20.16  40
46.22  39
59.00  32
37.08  32